[1]
The following is a theoretical powder XRD pattern of LiNdEu. It was derived from a DFT-relaxed cell (PBE, Alexandria), using Cu Kα X-rays.
No peak broadening, texture or thermal motion is included.

Top 8 peaks for 2θ = 10–90°, most intense first:
| two_theta | I_rel | index |
| --- | --- | --- |
| 30.93 | 100 | 1 0 3 |
| 24.18 | 65 | 1 0 1 |
| 33.05 | 46 | 1 1 0 |
| 57.71 | 34 | 2 1 3 |
| 43.18 | 27 | 1 1 4 |
| 27.00 | 24 | 0 0 4 |
| 54.18 | 19 | 1 0 7 |
| 47.44 | 17 | 2 0 0 |

```
data_LiNdEu
_chemical_formula_sum 'Li2 Nd2 Eu2'
_cell_length_a 3.8331
_cell_length_b 3.8331
_cell_length_c 13.2092
_cell_angle_alpha 90.00
_cell_angle_beta 90.00
_cell_angle_gamma 90.00
_symmetry_space_group_name_H-M 'I 4 m m'
_symmetry_Int_Tables_number 107
_symmetry_space_group_name_Hall 'I 4 -2'
loop_
_atom_site_label
_atom_site_fract_x
_atom_site_fract_y
_atom_site_fract_z
_atom_site_occupancy
Li1 0.0000 0.0000 0.0000 1
Nd1 0.0000 0.0000 0.6452 1
Eu1 0.0000 0.0000 0.3454 1
```

[2]
The following is a theoretical powder XRD pattern of LiEuNiSb. It was derived from a DFT-relaxed cell (PBE, Alexandria), using Cu Kα X-rays.
No peak broadening, texture or thermal motion is included.

Top 8 peaks for 2θ = 10–90°, most intense first:
| two_theta | I_rel | index |
| --- | --- | --- |
| 38.01 | 100 | 2 2 0 |
| 26.63 | 44 | 2 0 0 |
| 68.67 | 34 | 4 2 2 |
| 54.84 | 17 | 4 0 0 |
| 61.98 | 17 | 4 2 0 |
| 47.01 | 13 | 2 2 2 |
| 81.28 | 11 | 4 4 0 |
| 23.01 | 10 | 1 1 1 |

```
data_LiEuNiSb
_chemical_formula_sum 'Li4 Eu4 Ni4 Sb4'
_cell_length_a 6.6958
_cell_length_b 6.6958
_cell_length_c 6.6958
_cell_angle_alpha 90.00
_cell_angle_beta 90.00
_cell_angle_gamma 90.00
_symmetry_space_group_name_H-M 'F -4 3 m'
_symmetry_Int_Tables_number 216
_symmetry_space_group_name_Hall 'F -4 2 3'
loop_
_atom_site_label
_atom_site_fract_x
_atom_site_fract_y
_atom_site_fract_z
_atom_site_occupancy
Li1 0.0000 0.0000 0.0000 1
Eu1 0.2500 0.2500 0.7500 1
Ni1 0.0000 0.0000 0.5000 1
Sb1 0.2500 0.2500 0.2500 1
```

[3]
The following is a theoretical powder XRD pattern of LiEu3O4. It was derived from a DFT-relaxed cell (PBE, Alexandria), using Cu Kα X-rays.
No peak broadening, texture or thermal motion is included.

Top 8 peaks for 2θ = 10–90°, most intense first:
| two_theta | I_rel | index |
| --- | --- | --- |
| 27.60 | 100 | 2 0 3 |
| 30.95 | 62 | 1 1 2 |
| 38.27 | 42 | 3 1 2 |
| 31.24 | 41 | 4 0 0 |
| 52.82 | 38 | 0 2 0 |
| 35.81 | 37 | 3 1 1 |
| 47.42 | 34 | 1 1 5 |
| 33.86 | 34 | 2 1 2 |

```
data_LiEu3O4
_chemical_formula_sum 'Li4 Eu12 O16'
_cell_length_a 11.4532
_cell_length_b 3.4679
_cell_length_c 11.7433
_cell_angle_alpha 90.00
_cell_angle_beta 90.00
_cell_angle_gamma 90.00
_symmetry_space_group_name_H-M 'P n m a'
_symmetry_Int_Tables_number 62
loop_
_symmetry_equiv_pos_as_xyz
'x,y,z'
'-x,-y,-z'
'-x+1/2,-y,z+1/2'
'x+1/2,y,-z+1/2'
'x+1/2,-y+1/2,-z+1/2'
'-x+1/2,y+1/2,z+1/2'
'-x,y+1/2,-z'
'x,-y+1/2,z'
loop_
_atom_site_label
_atom_site_fract_x
_atom_site_fract_y
_atom_site_fract_z
_atom_site_occupancy
Li1 0.1524 0.2500 0.0984 1
Eu1 0.1018 0.7500 0.8924 1
Eu2 0.1297 0.2500 0.5741 1
Eu3 0.1416 0.7500 0.2982 1
O1 0.0222 0.2500 0.3864 1
O2 0.0521 0.7500 0.1082 1
O3 0.2301 0.7500 0.7208 1
O4 0.2395 0.2500 0.9628 1
```

[4]
The following is a theoretical powder XRD pattern of Li2EuSiO4. It was derived from a DFT-relaxed cell (PBE, Alexandria), using Cu Kα X-rays.
No peak broadening, texture or thermal motion is included.

Top 8 peaks for 2θ = 10–90°, most intense first:
| two_theta | I_rel | index |
| --- | --- | --- |
| 24.76 | 100 | 0 1 2 |
| 21.45 | 61 | 1 0 1 |
| 35.17 | 34 | 1 0 4 |
| 35.43 | 33 | 1 1 0 |
| 41.46 | 27 | 0 1 5 |
| 46.75 | 26 | 0 2 3 |
| 41.68 | 20 | 1 1 3 |
| 21.25 | 18 | 0 0 3 |

```
data_Li2EuSiO4
_chemical_formula_sum 'Li6 Eu3 Si3 O12'
_cell_length_a 5.0677
_cell_length_b 5.0677
_cell_length_c 12.5438
_cell_angle_alpha 90.00
_cell_angle_beta 90.00
_cell_angle_gamma 120.00
_symmetry_space_group_name_H-M 'P 31 2 1'
_symmetry_Int_Tables_number 152
loop_
_symmetry_equiv_pos_as_xyz
'x,y,z'
'-y,x-y,z+1/3'
'-x+y,-x,z+2/3'
'y,x,-z'
'x-y,-y,-z+2/3'
'-x,-x+y,-z+1/3'
loop_
_atom_site_label
_atom_site_fract_x
_atom_site_fract_y
_atom_site_fract_z
_atom_site_occupancy
Li1 0.0734 0.4070 0.4208 1
Eu1 0.0000 0.4208 0.6667 1
Si1 0.0000 0.2774 0.1667 1
O1 0.0356 0.4859 0.0602 1
O2 0.0677 0.7606 0.4959 1
```

[5]
The following is a theoretical powder XRD pattern of LiEuTcO3. It was derived from a DFT-relaxed cell (PBE, Alexandria), using Cu Kα X-rays.
No peak broadening, texture or thermal motion is included.

Top 8 peaks for 2θ = 10–90°, most intense first:
| two_theta | I_rel | index |
| --- | --- | --- |
| 26.17 | 100 | 1 0 1 |
| 22.71 | 66 | 0 0 2 |
| 40.87 | 34 | 1 1 2 |
| 33.52 | 29 | 1 1 0 |
| 42.06 | 29 | 1 0 3 |
| 55.60 | 25 | 2 1 1 |
| 53.85 | 23 | 2 0 2 |
| 48.13 | 16 | 2 0 0 |

```
data_LiEuTcO3
_chemical_formula_sum 'Li1 Eu1 Tc1 O3'
_cell_length_a 3.7813
_cell_length_b 3.7813
_cell_length_c 7.8321
_cell_angle_alpha 90.00
_cell_angle_beta 90.00
_cell_angle_gamma 90.00
_symmetry_space_group_name_H-M 'P 4/m m m'
_symmetry_Int_Tables_number 123
_symmetry_space_group_name_Hall '-P 4 2'
loop_
_atom_site_label
_atom_site_fract_x
_atom_site_fract_y
_atom_site_fract_z
_atom_site_occupancy
Li1 0.0000 0.0000 0.0000 1
Eu1 0.0000 0.0000 0.5000 1
Tc1 0.5000 0.5000 0.0000 1
O1 0.0000 0.5000 0.0000 1
O2 0.5000 0.5000 0.5000 1
```

[6]
The following is a theoretical powder XRD pattern of LiEuRhPb. It was derived from a DFT-relaxed cell (PBE, Alexandria), using Cu Kα X-rays.
No peak broadening, texture or thermal motion is included.

Top 8 peaks for 2θ = 10–90°, most intense first:
| two_theta | I_rel | index |
| --- | --- | --- |
| 36.61 | 100 | 2 2 0 |
| 65.92 | 36 | 4 2 2 |
| 25.66 | 34 | 2 0 0 |
| 52.74 | 18 | 4 0 0 |
| 89.23 | 17 | 6 2 0 |
| 22.18 | 14 | 1 1 1 |
| 59.55 | 14 | 4 2 0 |
| 77.83 | 11 | 4 4 0 |

```
data_LiEuRhPb
_chemical_formula_sum 'Li4 Eu4 Rh4 Pb4'
_cell_length_a 6.9422
_cell_length_b 6.9422
_cell_length_c 6.9422
_cell_angle_alpha 90.00
_cell_angle_beta 90.00
_cell_angle_gamma 90.00
_symmetry_space_group_name_H-M 'F -4 3 m'
_symmetry_Int_Tables_number 216
_symmetry_space_group_name_Hall 'F -4 2 3'
loop_
_atom_site_label
_atom_site_fract_x
_atom_site_fract_y
_atom_site_fract_z
_atom_site_occupancy
Li1 0.0000 0.0000 0.0000 1
Eu1 0.2500 0.2500 0.7500 1
Rh1 0.0000 0.0000 0.5000 1
Pb1 0.2500 0.2500 0.2500 1
```

[7]
The following is a theoretical powder XRD pattern of LiEuPd. It was derived from a DFT-relaxed cell (PBE, Alexandria), using Cu Kα X-rays.
No peak broadening, texture or thermal motion is included.

Top 8 peaks for 2θ = 10–90°, most intense first:
| two_theta | I_rel | index |
| --- | --- | --- |
| 36.47 | 100 | 1 0 3 |
| 26.51 | 69 | 1 0 1 |
| 35.67 | 55 | 1 1 0 |
| 64.60 | 37 | 2 1 3 |
| 17.32 | 27 | 0 0 2 |
| 51.34 | 19 | 2 0 0 |
| 50.87 | 18 | 1 1 4 |
| 66.15 | 15 | 1 1 6 |

```
data_LiEuPd
_chemical_formula_sum 'Li2 Eu2 Pd2'
_cell_length_a 3.5593
_cell_length_b 3.5593
_cell_length_c 10.2416
_cell_angle_alpha 90.00
_cell_angle_beta 90.00
_cell_angle_gamma 90.00
_symmetry_space_group_name_H-M 'I 4 m m'
_symmetry_Int_Tables_number 107
_symmetry_space_group_name_Hall 'I 4 -2'
loop_
_atom_site_label
_atom_site_fract_x
_atom_site_fract_y
_atom_site_fract_z
_atom_site_occupancy
Li1 0.0000 0.0000 0.0000 1
Eu1 0.0000 0.0000 0.2822 1
Pd1 0.0000 0.0000 0.5993 1
```

[8]
The following is a theoretical powder XRD pattern of LiEuSnRh. It was derived from a DFT-relaxed cell (PBE, Alexandria), using Cu Kα X-rays.
No peak broadening, texture or thermal motion is included.

Top 8 peaks for 2θ = 10–90°, most intense first:
| two_theta | I_rel | index |
| --- | --- | --- |
| 37.18 | 100 | 2 2 0 |
| 67.04 | 36 | 4 2 2 |
| 26.06 | 22 | 2 0 0 |
| 22.52 | 18 | 1 1 1 |
| 53.60 | 17 | 4 0 0 |
| 79.23 | 11 | 4 4 0 |
| 43.90 | 9 | 3 1 1 |
| 60.54 | 9 | 4 2 0 |

```
data_LiEuSnRh
_chemical_formula_sum 'Li4 Eu4 Sn4 Rh4'
_cell_length_a 6.8395
_cell_length_b 6.8395
_cell_length_c 6.8395
_cell_angle_alpha 90.00
_cell_angle_beta 90.00
_cell_angle_gamma 90.00
_symmetry_space_group_name_H-M 'F -4 3 m'
_symmetry_Int_Tables_number 216
_symmetry_space_group_name_Hall 'F -4 2 3'
loop_
_atom_site_label
_atom_site_fract_x
_atom_site_fract_y
_atom_site_fract_z
_atom_site_occupancy
Li1 0.0000 0.0000 0.0000 1
Eu1 0.2500 0.2500 0.2500 1
Sn1 0.2500 0.2500 0.7500 1
Rh1 0.0000 0.0000 0.5000 1
```